No. 1
This entry pairs a crystal structure of Pm4Tm6Th with its computed X-ray diffraction stick pattern. Radiation: Cu Kα, 1.54184 Å. Structure: a structure optimized by DFT (GGA-PBE).

Cell and atoms:
abc: 8.646 8.646 9.500
angles: 90.00 90.00 90.00
Space group P4/mnc (No. 128)
Asymmetric unit:
Pm 0.147 0.353 0.250
Tm 0.000 0.000 0.163
Tm 0.140 0.660 0.000
Th 0.000 0.000 0.500

Largest 10 diffraction maxima, sorted by position, 5 to 70 degrees two-theta:
- (2 2 0), 29.21°, I 12
- (2 1 2), 29.79°, I 100
- (1 0 3), 30.05°, I 14
- (3 1 0), 32.75°, I 67
- (2 1 3), 36.68°, I 23
- (0 0 4), 37.89°, I 12
- (4 2 0), 47.00°, I 12
- (3 1 4), 50.93°, I 13
- (5 2 2), 60.91°, I 19
- (2 1 6), 63.49°, I 12

---

No. 2
This entry pairs a crystal structure of Pm5Tm5Th2 with its computed X-ray diffraction stick pattern. Radiation: Cu Kα, 1.54184 Å. Structure: a structure optimized by DFT (GGA-PBE).

Cell and atoms:
abc: 15.182 5.039 11.339
angles: 90.00 116.85 90.00
Space group C2/m (No. 12)
Asymmetric unit:
Pm 0.000 0.000 0.000
Pm 0.081 0.000 0.749
Pm 0.250 0.000 0.253
Tm 0.000 0.500 0.500
Tm 0.085 0.500 0.255
Tm 0.167 0.500 0.002
Th 0.168 0.000 0.498

Largest 10 diffraction maxima, sorted by position, 5 to 70 degrees two-theta:
- (3 1 -3), 30.59°, I 100
- (3 1 1), 30.71°, I 99
- (6 0 -2), 35.49°, I 67
- (0 2 0), 35.64°, I 33
- (6 2 -2), 51.18°, I 60
- (9 1 -5), 60.63°, I 29
- (3 3 -3), 60.86°, I 43
- (3 3 1), 60.97°, I 14
- (6 2 -6), 63.67°, I 13
- (6 2 2), 63.96°, I 12

---

No. 3
This entry pairs a crystal structure of PmTm12Th7 with its computed X-ray diffraction stick pattern. Radiation: Cu Kα, 1.54184 Å. Structure: a structure optimized by DFT (GGA-PBE).

Cell and atoms:
abc: 11.8629 11.8629 15.8779
angles: 90.00 90.00 120.00
Space group R-3 (No. 148, hexagonal axes)
Asymmetric unit:
Pm 0.0000 0.0000 0.0000
Tm 0.0185 0.5763 0.7196
Tm 0.0485 0.4608 0.0843
Th 0.0000 0.0000 0.5000
Th 0.0528 0.8685 0.7910

Largest 10 diffraction maxima, sorted by position, 5 to 70 degrees two-theta:
- (0 2 4), 28.42°, I 14
- (0 1 5), 29.44°, I 25
- (0 3 3), 31.11°, I 33
- (1 3 1), 31.91°, I 100
- (3 -1 4), 32.25°, I 42
- (2 0 5), 33.17°, I 17
- (4 -1 2), 33.41°, I 58
- (1 2 8), 51.73°, I 13
- (1 4 6), 53.57°, I 13
- (5 2 0), 55.89°, I 20

---

No. 4
This entry pairs a crystal structure of Pm3TmTh2 with its computed X-ray diffraction stick pattern. Radiation: Cu Kα, 1.54184 Å. Structure: a structure optimized by DFT (GGA-PBE).

Cell and atoms:
abc: 10.145 3.612 10.771
angles: 90.00 90.40 90.00
Space group P2_1/m (No. 11)
Asymmetric unit:
Pm 0.123 0.250 0.250
Pm 0.138 0.250 0.917
Pm 0.368 0.750 0.416
Tm 0.375 0.750 0.750
Th 0.123 0.250 0.583
Th 0.384 0.750 0.082

Largest 10 diffraction maxima, sorted by position, 5 to 70 degrees two-theta:
- (2 1 0), 30.39°, I 100
- (2 0 3), 30.61°, I 33
- (0 1 3), 35.24°, I 45
- (4 0 0), 35.39°, I 22
- (4 1 -3), 50.67°, I 16
- (0 0 6), 50.92°, I 24
- (2 2 -3), 60.12°, I 10
- (2 2 3), 60.26°, I 19
- (2 1 6), 60.49°, I 19
- (4 2 0), 63.22°, I 13

---

No. 5
This entry pairs a crystal structure of PmTmTh3 with its computed X-ray diffraction stick pattern. Radiation: Cu Kα, 1.54184 Å. Structure: a structure optimized by DFT (GGA-PBE).

Cell and atoms:
abc: 9.980 11.831 5.984
angles: 90.00 90.00 90.00
Space group Imma (No. 74)
Asymmetric unit:
Pm 0.250 0.250 0.250
Tm 0.000 0.250 0.693
Th 0.000 0.000 0.000
Th 0.168 0.000 0.500

Largest 10 diffraction maxima, sorted by position, 5 to 70 degrees two-theta:
- (0 2 0), 14.98°, I 42
- (2 1 1), 24.41°, I 42
- (0 4 0), 30.22°, I 64
- (3 0 1), 30.75°, I 47
- (0 2 2), 33.56°, I 89
- (3 2 1), 34.37°, I 100
- (3 4 1), 43.65°, I 37
- (0 6 2), 55.84°, I 22
- (3 6 1), 56.38°, I 26
- (0 8 0), 62.77°, I 31

---

No. 6
This entry pairs a crystal structure of Pm6Tm5Th2 with its computed X-ray diffraction stick pattern. Radiation: Cu Kα, 1.54184 Å. Structure: a structure optimized by DFT (GGA-PBE).

Cell and atoms:
abc: 11.695 20.345 3.618
angles: 90.00 90.00 90.00
Space group Pbam (No. 55)
Asymmetric unit:
Pm 0.066 0.073 0.000
Pm 0.078 0.362 0.000
Pm 0.176 0.628 0.500
Tm 0.000 0.500 0.500
Tm 0.091 0.219 0.500
Tm 0.196 0.935 0.500
Th 0.170 0.778 0.000

Largest 10 diffraction maxima, sorted by position, 5 to 70 degrees two-theta:
- (4 1 0), 30.90°, I 53
- (1 4 1), 31.29°, I 45
- (1 7 0), 31.73°, I 66
- (2 3 1), 31.93°, I 100
- (2 4 1), 34.06°, I 36
- (3 3 1), 36.37°, I 21
- (0 0 2), 50.45°, I 18
- (1 10 1), 52.17°, I 23
- (4 1 2), 60.34°, I 16
- (1 7 2), 60.85°, I 25

---

No. 7
This entry pairs a crystal structure of Pm5Tm2Th with its computed X-ray diffraction stick pattern. Radiation: Cu Kα, 1.54184 Å. Structure: a structure optimized by DFT (GGA-PBE).

Cell and atoms:
abc: 7.197 14.398 5.089
angles: 90.00 90.00 90.00
Space group Pbam (No. 55)
Asymmetric unit:
Pm 0.000 0.000 0.000
Pm 0.007 0.251 0.000
Pm 0.249 0.376 0.500
Tm 0.240 0.623 0.500
Th 0.000 0.500 0.000

Largest 10 diffraction maxima, sorted by position, 5 to 70 degrees two-theta:
- (0 2 0), 12.30°, I 1
- (1 1 0), 13.76°, I 2
- (1 1 1), 22.27°, I 1
- (0 4 1), 30.42°, I 100
- (0 0 2), 35.27°, I 51
- (1 5 1), 38.02°, I 1
- (3 1 1), 42.11°, I 1
- (2 4 2), 50.74°, I 36
- (0 4 3), 60.32°, I 43
- (0 8 2), 63.30°, I 12

---

No. 8
This entry pairs a crystal structure of Pm8Tm3Th with its computed X-ray diffraction stick pattern. Radiation: Cu Kα, 1.54184 Å. Structure: a structure optimized by DFT (GGA-PBE).

Cell and atoms:
abc: 3.573 8.400 14.037
angles: 100.51 97.31 102.28
Space group P1 (No. 1)
Asymmetric unit:
Pm 0.000 0.000 0.000
Pm 0.015 0.707 0.323
Pm 0.133 0.696 0.573
Pm 0.246 0.667 0.827
Pm 0.373 0.347 0.401
Pm 0.630 0.019 0.244
Pm 0.749 0.343 0.156
Pm 0.879 0.018 0.744
Tm 0.365 0.654 0.077
Tm 0.498 0.341 0.657
Tm 0.626 0.344 0.912
Th 0.761 0.027 0.494

Largest 10 diffraction maxima, sorted by position, 5 to 70 degrees two-theta:
- (1 1 -1), 29.86°, I 39
- (0 2 -4), 30.59°, I 54
- (0 1 4), 30.69°, I 100
- (0 3 0), 33.55°, I 37
- (1 0 -4), 33.72°, I 37
- (1 0 -5), 38.50°, I 19
- (1 3 -4), 48.76°, I 18
- (2 1 -5), 60.76°, I 14
- (2 0 3), 60.83°, I 14
- (2 2 -1), 62.54°, I 12

---

Number 5 is which compound? PmTmTh3

---

What is the formula in the third record? PmTm12Th7